No. 1
Starting from a crystal structure in the Materials Project, relaxed with PBE, the powder X-ray diffraction pattern of BiB2O5 was simulated for Cu Ka.
Neutral-atom scattering factors, no anomalous dispersion.

Top 8 peaks for 15° ≤ 2θ ≤ 90°, in order of rising 2θ:
two_theta, d/Å, I (rel.)
15.77, 5.621, 56
16.67, 5.319, 100
17.76, 4.993, 54
26.06, 3.420, 48
26.38, 3.378, 69
26.85, 3.320, 59
29.30, 3.048, 48
42.77, 2.114, 34

Cell and atoms:
```
data_BiB2O5
_symmetry_space_group_name_H-M 'C 1 2/c 1'
_symmetry_Int_Tables_number 15
_cell_length_a 11.5306
_cell_length_b 6.8394
_cell_length_c 10.2438
_cell_angle_alpha 90.00
_cell_angle_beta 102.86
_cell_angle_gamma 90.00
loop_
_symmetry_equiv_pos_as_xyz
'x,y,z'
'-x,-y,-z'
'-x,y,-z+1/2'
'x,-y,z+1/2'
'x+1/2,y+1/2,z'
'-x+1/2,-y+1/2,-z'
'-x+1/2,y+1/2,-z+1/2'
'x+1/2,-y+1/2,z+1/2'
loop_
_atom_site_label
_atom_site_type_symbol
_atom_site_fract_x
_atom_site_fract_y
_atom_site_fract_z
Bi1 Bi 0.1838 0.1996 0.3082
B1 B 0.0238 0.2577 0.4989
B2 B 0.1352 0.3059 0.8591
O1 O 0.0224 0.1923 0.1287
O2 O 0.0363 0.3297 0.9102
O3 O 0.1466 0.2529 0.5272
O4 O 0.1875 0.4639 0.8103
O5 O 0.1924 0.1358 0.8409
```



No. 2
Starting from a crystal structure in the Materials Project, relaxed with PBE, the powder X-ray diffraction pattern of Bi4B3O12 was simulated for Cu Ka.
Neutral-atom scattering factors, no anomalous dispersion.

Top 8 peaks for 15° ≤ 2θ ≤ 90°, in order of rising 2θ:
two_theta, d/Å, I (rel.)
22.22, 4.000, 88
28.81, 3.098, 100
34.24, 2.619, 67
45.34, 2.000, 44
47.31, 1.922, 71
58.03, 1.589, 30
61.32, 1.512, 21
85.19, 1.139, 21

Cell and atoms:
```
data_Bi4B3O12
_symmetry_space_group_name_H-M 'I -4 3 d'
_symmetry_Int_Tables_number 220
_symmetry_space_group_name_Hall 'I -4bd 2c 3'
_cell_length_a 9.7980
_cell_length_b 9.7980
_cell_length_c 9.7980
_cell_angle_alpha 90.00
_cell_angle_beta 90.00
_cell_angle_gamma 90.00
loop_
_atom_site_label
_atom_site_type_symbol
_atom_site_fract_x
_atom_site_fract_y
_atom_site_fract_z
Bi1 Bi 0.0743 0.0743 0.0743
B1 B 0.0000 0.2500 0.3750
O1 O 0.0437 0.1165 0.6984
```



No. 3
Starting from a crystal structure in the Materials Project, relaxed with PBE, the powder X-ray diffraction pattern of Bi4B6O15 was simulated for Cu Ka.
Neutral-atom scattering factors, no anomalous dispersion.

Top 8 peaks for 15° ≤ 2θ ≤ 90°, in order of rising 2θ:
two_theta, d/Å, I (rel.)
21.61, 4.112, 87
22.04, 4.032, 59
25.22, 3.532, 55
29.76, 3.003, 98
30.02, 2.977, 71
30.45, 2.935, 100
31.99, 2.798, 58
46.49, 1.953, 38

Cell and atoms:
```
data_Bi4B6O15
_symmetry_space_group_name_H-M 'C 1 2/c 1'
_symmetry_Int_Tables_number 15
_cell_length_a 12.0154
_cell_length_b 4.5516
_cell_length_c 19.5540
_cell_angle_alpha 90.00
_cell_angle_beta 97.73
_cell_angle_gamma 90.00
loop_
_symmetry_equiv_pos_as_xyz
'x,y,z'
'-x,-y,-z'
'-x,y,-z+1/2'
'x,-y,z+1/2'
'x+1/2,y+1/2,z'
'-x+1/2,-y+1/2,-z'
'-x+1/2,y+1/2,-z+1/2'
'x+1/2,-y+1/2,z+1/2'
loop_
_atom_site_label
_atom_site_type_symbol
_atom_site_fract_x
_atom_site_fract_y
_atom_site_fract_z
Bi1 Bi 0.1305 0.1875 0.0949
Bi2 Bi 0.1442 0.2017 0.3000
B1 B 0.0644 0.2734 0.6952
B2 B 0.1002 0.2933 0.9120
B3 B 0.1702 0.2044 0.4722
O1 O 0.0000 0.1453 0.7500
O2 O 0.0105 0.1866 0.6253
O3 O 0.0725 0.4111 0.1988
O4 O 0.0880 0.3979 0.4346
O5 O 0.1293 0.0983 0.9718
O6 O 0.1744 0.1168 0.7061
O7 O 0.1824 0.2778 0.8620
O8 O 0.2100 0.2770 0.5481
```



No. 4
Starting from a crystal structure in the Materials Project, relaxed with PBE, the powder X-ray diffraction pattern of Bi6B10O21 was simulated for Cu Ka.
Neutral-atom scattering factors, no anomalous dispersion.

Top 8 peaks for 15° ≤ 2θ ≤ 90°, in order of rising 2θ:
two_theta, d/Å, I (rel.)
20.89, 4.252, 36
23.63, 3.765, 69
24.07, 3.697, 38
27.10, 3.290, 100
27.49, 3.245, 37
31.05, 2.881, 55
33.17, 2.701, 39
33.35, 2.687, 42

Cell and atoms:
```
data_Bi6B10O21
_symmetry_space_group_name_H-M 'P -1'
_symmetry_Int_Tables_number 2
_cell_length_a 7.0891
_cell_length_b 7.1617
_cell_length_c 11.3531
_cell_angle_alpha 77.40
_cell_angle_beta 86.38
_cell_angle_gamma 63.31
loop_
_symmetry_equiv_pos_as_xyz
'x,y,z'
'-x,-y,-z'
loop_
_atom_site_label
_atom_site_type_symbol
_atom_site_fract_x
_atom_site_fract_y
_atom_site_fract_z
Bi1 Bi 0.1537 0.2681 0.1343
Bi2 Bi 0.2107 0.0006 0.9423
Bi3 Bi 0.2399 0.2703 0.5889
B1 B 0.1356 0.7891 0.5443
B2 B 0.1710 0.6751 0.2732
B3 B 0.3804 0.4462 0.9109
B4 B 0.4214 0.8212 0.2261
B5 B 0.4379 0.5699 0.6986
O1 O 0.0000 0.0000 0.5000
O2 O 0.0362 0.2966 0.7399
O3 O 0.0806 0.6315 0.5271
O4 O 0.2015 0.8567 0.2503
O5 O 0.2680 0.4808 0.0129
O6 O 0.3196 0.7476 0.6012
O7 O 0.3367 0.4726 0.3021
O8 O 0.3390 0.6151 0.8140
O9 O 0.4327 0.3664 0.6852
O10 O 0.4503 0.0046 0.2289
O11 O 0.4678 0.7595 0.1010
```



No. 5
Starting from a crystal structure in the Materials Project, relaxed with PBE, the powder X-ray diffraction pattern of BiBPbO4 was simulated for Cu Ka.
Neutral-atom scattering factors, no anomalous dispersion.

Top 8 peaks for 15° ≤ 2θ ≤ 90°, in order of rising 2θ:
two_theta, d/Å, I (rel.)
23.09, 3.852, 40
26.21, 3.400, 50
27.98, 3.189, 87
28.93, 3.086, 100
34.81, 2.577, 18
36.33, 2.473, 23
50.69, 1.801, 25
50.88, 1.795, 45

Cell and atoms:
```
data_BiBPbO4
_symmetry_space_group_name_H-M 'C m c e'
_symmetry_Int_Tables_number 64
_symmetry_space_group_name_Hall '-C 2ac 2'
_cell_length_a 11.1734
_cell_length_b 10.6365
_cell_length_c 7.5777
_cell_angle_alpha 90.00
_cell_angle_beta 90.00
_cell_angle_gamma 90.00
loop_
_atom_site_label
_atom_site_type_symbol
_atom_site_fract_x
_atom_site_fract_y
_atom_site_fract_z
Bi1 Bi 0.1583 0.0000 0.0000
B1 B 0.2500 0.2380 0.2500
Pb1 Pb 0.0000 0.1832 0.6088
O1 O 0.0000 0.1015 0.8943
O2 O 0.1461 0.1715 0.2056
O3 O 0.2500 0.1326 0.7500
```



No. 6
Starting from a crystal structure in the Materials Project, relaxed with PBE, the powder X-ray diffraction pattern of BiBPbO4 was simulated for Cu Ka.
Neutral-atom scattering factors, no anomalous dispersion.

Top 8 peaks for 15° ≤ 2θ ≤ 90°, in order of rising 2θ:
two_theta, d/Å, I (rel.)
22.94, 3.876, 31
23.31, 3.815, 32
26.19, 3.403, 90
27.86, 3.203, 68
28.09, 3.177, 68
28.91, 3.088, 100
29.12, 3.067, 55
50.88, 1.795, 39

Cell and atoms:
```
data_BiBPbO4
_symmetry_space_group_name_H-M 'P 1 21/c 1'
_symmetry_Int_Tables_number 14
_cell_length_a 7.6416
_cell_length_b 7.5863
_cell_length_c 10.5993
_cell_angle_alpha 90.00
_cell_angle_beta 132.99
_cell_angle_gamma 90.00
loop_
_symmetry_equiv_pos_as_xyz
'x,y,z'
'-x,-y,-z'
'-x,y+1/2,-z+1/2'
'x,-y+1/2,z+1/2'
loop_
_atom_site_label
_atom_site_type_symbol
_atom_site_fract_x
_atom_site_fract_y
_atom_site_fract_z
Bi1 Bi 0.1833 0.0009 0.3432
B1 B 0.0005 0.2429 0.9885
Pb1 Pb 0.5003 0.1098 0.8164
O1 O 0.0078 0.7370 0.3857
O2 O 0.2054 0.7034 0.6824
O3 O 0.2097 0.2104 0.5278
O4 O 0.4990 0.1027 0.3963
```



- What is the formula in the second record?
  Bi4B3O12



What did the second record say?
Starting from a crystal structure in the Materials Project, relaxed with PBE, the powder X-ray diffraction pattern of Bi4B3O12 was simulated for Cu Ka.
Neutral-atom scattering factors, no anomalous dispersion.

Top 8 peaks for 15° ≤ 2θ ≤ 90°, in order of rising 2θ:
two_theta, d/Å, I (rel.)
22.22, 4.000, 88
28.81, 3.098, 100
34.24, 2.619, 67
45.34, 2.000, 44
47.31, 1.922, 71
58.03, 1.589, 30
61.32, 1.512, 21
85.19, 1.139, 21

Cell and atoms:
```
data_Bi4B3O12
_symmetry_space_group_name_H-M 'I -4 3 d'
_symmetry_Int_Tables_number 220
_symmetry_space_group_name_Hall 'I -4bd 2c 3'
_cell_length_a 9.7980
_cell_length_b 9.7980
_cell_length_c 9.7980
_cell_angle_alpha 90.00
_cell_angle_beta 90.00
_cell_angle_gamma 90.00
loop_
_atom_site_label
_atom_site_type_symbol
_atom_site_fract_x
_atom_site_fract_y
_atom_site_fract_z
Bi1 Bi 0.0743 0.0743 0.0743
B1 B 0.0000 0.2500 0.3750
O1 O 0.0437 0.1165 0.6984
```